Record 1
Computed powder X-ray diffraction pattern of Al4ZnAg8 for CuKα, from a structure optimized by DFT (PBE).
Neutral-atom scattering factors, no anomalous dispersion.

Crystal structure
a b c (Å): 4.9900 4.9900 11.6978
angles (deg): 92.65 92.65 48.67
Atoms (fractional coordinates):
Al (0.1209, 0.1209, 0.1556)
Al (0.3505, 0.3505, 0.4579)
Al (0.6495, 0.6495, 0.5421)
Al (0.8791, 0.8791, 0.8444)
Zn (0.5000, 0.5000, 0.0000)
Ag (0.0516, 0.0516, 0.3884)
Ag (0.1877, 0.1877, 0.9267)
Ag (0.2576, 0.2576, 0.6865)
Ag (0.4346, 0.4346, 0.2263)
Ag (0.5654, 0.5654, 0.7737)
Ag (0.7424, 0.7424, 0.3135)
Ag (0.8123, 0.8123, 0.0733)
Ag (0.9484, 0.9484, 0.6116)

The 10 most intense peaks (2θ = 15–90°), in order of rising 2θ:
Position (°2θ)	intensity
24.8	17
38.0	100
38.7	98
44.0	34
44.5	31
45.2	29
64.4	29
64.9	19
77.0	12
77.4	12


Record 2
Computed powder X-ray diffraction pattern of Al2Zn12Ag5 for CuKα, from a structure optimized by DFT (PBE).
Neutral-atom scattering factors, no anomalous dispersion.

Crystal structure
a b c (Å): 7.1878 7.1878 6.5181
angles (deg): 90.37 90.37 71.04
Atoms (fractional coordinates):
Al (0.2231, 0.7769, 0.0000)
Al (0.7769, 0.2231, 0.0000)
Zn (0.0306, 0.5609, 0.7978)
Zn (0.0526, 0.0526, 0.3021)
Zn (0.1267, 0.6718, 0.4003)
Zn (0.3282, 0.8733, 0.5997)
Zn (0.4055, 0.4055, 0.8921)
Zn (0.4391, 0.9694, 0.2022)
Zn (0.5609, 0.0306, 0.7978)
Zn (0.5945, 0.5945, 0.1079)
Zn (0.6718, 0.1267, 0.4003)
Zn (0.8733, 0.3282, 0.5997)
Zn (0.9474, 0.9474, 0.6979)
Zn (0.9694, 0.4391, 0.2022)
Ag (0.1658, 0.1658, 0.8989)
Ag (0.2657, 0.2657, 0.4775)
Ag (0.5000, 0.5000, 0.5000)
Ag (0.7343, 0.7343, 0.5225)
Ag (0.8342, 0.8342, 0.1011)

The 10 most intense peaks (2θ = 15–90°), in order of rising 2θ:
Position (°2θ)	intensity
30.4	31
34.9	12
38.2	48
40.2	100
42.3	26
43.4	59
44.6	16
65.3	12
76.6	13
81.7	11


Record 3
Computed powder X-ray diffraction pattern of Al5Zn3Ag4 for CuKα, from a structure optimized by DFT (PBE).
Neutral-atom scattering factors, no anomalous dispersion.

Crystal structure
a b c (Å): 7.0649 7.0649 8.7465
angles (deg): 124.95 124.95 38.53
Atoms (fractional coordinates):
Al (0.0000, 0.0000, 0.0000)
Al (0.3216, 0.3216, 0.0213)
Al (0.4487, 0.4487, 0.6170)
Al (0.5513, 0.5513, 0.3830)
Al (0.6784, 0.6784, 0.9787)
Zn (0.2524, 0.2524, 0.2439)
Zn (0.5000, 0.5000, 0.0000)
Zn (0.7476, 0.7476, 0.7561)
Ag (0.0901, 0.0901, 0.7057)
Ag (0.1774, 0.1774, 0.4670)
Ag (0.8226, 0.8226, 0.5330)
Ag (0.9099, 0.9099, 0.2943)

The 10 most intense peaks (2θ = 15–90°), in order of rising 2θ:
Position (°2θ)	intensity
20.8	35
27.1	39
31.4	69
36.4	42
38.6	83
38.9	46
39.9	100
40.9	38
41.1	90
50.6	48